1.
Structure and simulated PXRD pattern of WSeS (a structure optimized by DFT (GGA-PBE); Cu Ka).

The 6 most intense peaks (10° ≤ 2θ ≤ 90°), most intense first:
2theta	I (rel.)
11.98	100.0
37.39	57.0
45.33	33.5
31.78	25.5
14.39	23.2
56.59	18.7

Cell and atoms:
```
WSeS
1.0
3.2534 0.0000 0.0000
-1.6267 2.8175 0.0000
0.0000 0.0000 36.9301
W Se S
4 4 4
Direct
0.0000 0.0000 0.0000 W
0.0000 0.0000 0.3757 W
0.3333 0.6667 0.1879 W
0.3333 0.6667 0.5636 W
0.0000 0.0000 0.5174 Se
0.0000 0.0000 0.6099 Se
0.3333 0.6667 0.3295 Se
0.3333 0.6667 0.4220 Se
0.0000 0.0000 0.1459 S
0.0000 0.0000 0.2299 S
0.3333 0.6667 0.0420 S
0.3333 0.6667 0.9580 S
```


2.
Structure and simulated PXRD pattern of U2Si5Ru3 (a structure optimized by DFT (GGA-PBE); Cu Ka).

The 6 most intense peaks (10° ≤ 2θ ≤ 90°), most intense first:
2theta	I (rel.)
35.58	100.0
35.00	55.6
44.15	53.2
23.68	41.0
36.14	32.0
30.28	26.5

Cell and atoms:
```
U2Si5Ru3
1.0
5.5825 -5.9029 0.0000
5.5825 5.9029 0.0000
-2.8077 0.0000 4.9706
U Si Ru
4 10 6
Direct
0.0946 0.3680 0.2369 U
0.3680 0.0946 0.7369 U
0.6320 0.9054 0.2631 U
0.9054 0.6320 0.7631 U
0.0138 0.9862 0.7500 Si
0.2370 0.4353 0.8347 Si
0.2789 0.7211 0.7500 Si
0.2957 0.7043 0.2500 Si
0.4353 0.2370 0.3347 Si
0.5647 0.7630 0.6653 Si
0.7043 0.2957 0.7500 Si
0.7211 0.2789 0.2500 Si
0.7630 0.5647 0.1653 Si
0.9862 0.0138 0.2500 Si
0.0442 0.7552 0.3649 Ru
0.2448 0.9558 0.1351 Ru
0.5003 0.4997 0.2500 Ru
0.4997 0.5003 0.7500 Ru
0.7552 0.0442 0.8649 Ru
0.9558 0.2448 0.6351 Ru
```


3.
Structure and simulated PXRD pattern of NaMnSe2 (a structure optimized by DFT (GGA-PBE); Cu Ka).

The 6 most intense peaks (10° ≤ 2θ ≤ 90°), most intense first:
2theta	I (rel.)
28.42	100.0
45.75	48.0
45.04	44.1
25.55	34.5
35.77	25.6
24.61	19.5

Cell and atoms:
```
NaMnSe2
1.0
4.0258 0.0000 0.0000
-2.0129 3.4864 0.0000
0.0000 0.0000 7.2341
Na Mn Se
1 1 2
Direct
0.0000 0.0000 0.0000 Na
0.3333 0.6667 0.5615 Mn
0.3333 0.6667 0.2442 Se
0.6667 0.3333 0.7036 Se
```


- What is the formula in the third record?
  NaMnSe2